Structure and computed X-ray diffraction stick pattern of Zn6TcO6 (a cell relaxed with GGA-PBE; Cu Kα, 1.54184 Å).

Structure:
a = 5.7297 Å, b = 5.7297 Å, c = 5.7297 Å
α = 90.00°, β = 90.00°, γ = 90.00°
Positions (direct):
Zn  0.0000  0.2499  0.5000
Zn  0.0000  0.7501  0.5000
Zn  0.2499  0.5000  0.0000
Zn  0.5000  0.0000  0.2499
Zn  0.5000  0.0000  0.7501
Zn  0.7501  0.5000  0.0000
Tc  0.0000  0.0000  0.0000
O  0.0000  0.5000  0.2513
O  0.0000  0.5000  0.7487
O  0.2513  0.0000  0.5000
O  0.5000  0.2513  0.0000
O  0.5000  0.7487  0.0000
O  0.7487  0.0000  0.5000

Largest 12 diffraction maxima, in order of rising 2θ, 10 to 90 degrees two-theta:
two_theta, I_rel
15.5, 33.1
21.9, 17.2
27.0, 11.8
31.2, 45.1
35.0, 99.6
38.5, 100.0
55.6, 24.3
58.0, 23.8
60.5, 48.6
65.1, 24.0
74.0, 12.7
76.1, 21.2

Structure and computed X-ray diffraction stick pattern of Ac3NiSe2 (a cell relaxed with GGA-PBE; Cu Kα, 1.54184 Å).

Structure:
a = 9.7108 Å, b = 9.7108 Å, c = 9.7108 Å
α = 153.18°, β = 153.18°, γ = 38.29°
Positions (direct):
Ac  0.0000  0.0000  0.0000
Ac  0.3425  0.3425  0.0000
Ac  0.6575  0.6575  0.0000
Ni  0.5000  0.5000  0.0000
Se  0.1720  0.1720  0.0000
Se  0.8280  0.8280  0.0000

Largest 12 diffraction maxima, in order of rising 2θ, 10 to 90 degrees two-theta:
two_theta, I_rel
24.5, 63.5
28.0, 100.0
29.2, 42.1
40.0, 38.9
40.9, 68.5
47.5, 23.4
50.3, 37.9
57.9, 14.0
65.5, 18.9
66.2, 16.8
68.0, 12.6
73.3, 25.0